Calculated X-ray diffraction stick pattern of TaVBiO6 for Cu Kα X-rays, from DFT lattice parameters and positions (PBE+U).
No peak broadening, texture or thermal motion is included.

Most intense lines, 10 to 90 degrees two-theta, in order of rising 2θ:
2θ (°)	I_rel
20.33	28
25.75	100
33.23	86
36.73	26
50.36	67
52.92	17
59.76	17
63.55	16
63.93	19
76.06	16

Cell and atoms:
abc: 4.894 4.894 9.694
angles: 90.00 90.00 90.00
Element x y z (fractional)
Ta 0.000 0.000 0.000
Ta 0.500 0.500 0.500
V 0.000 0.000 0.332
V 0.500 0.500 0.832
Bi 0.000 0.000 0.661
Bi 0.500 0.500 0.161
O 0.170 0.170 0.170
O 0.213 0.213 0.481
O 0.223 0.223 0.864
O 0.277 0.723 0.364
O 0.287 0.713 0.981
O 0.330 0.670 0.670
O 0.670 0.330 0.670
O 0.713 0.287 0.981
O 0.723 0.277 0.364
O 0.777 0.777 0.864
O 0.787 0.787 0.481
O 0.830 0.830 0.170